For Pm2InSe5, a cell relaxed with PBE gives the calculated powder diffractogram in this record (Cu Ka).
Intensities are scaled so that the largest is 100.

Structure:
a = 5.7915 Å, b = 14.4520 Å, c = 12.9256 Å
α = 90.00°, β = 90.00°, γ = 90.00°
Space group Cmcm (No. 63)
Symmetry-distinct sites (fractional):
Pm 0.0000 0.1657 0.0715
In 0.0000 0.1771 0.7500
Se 0.0000 0.0328 0.6028
Se 0.0000 0.2904 0.2500
Se 0.0000 0.3052 0.5910

Most intense lines, 15 to 90 degrees two-theta, in order of rising 2θ:
- 2θ 16.49, intensity 83.9
- 2θ 24.05, intensity 80.0
- 2θ 30.88, intensity 74.8
- 2θ 32.34, intensity 100.0
- 2θ 37.33, intensity 19.6
- 2θ 39.52, intensity 41.6
- 2θ 40.69, intensity 44.4
- 2θ 41.94, intensity 27.5
- 2θ 45.32, intensity 82.7
- 2θ 49.20, intensity 17.7
- 2θ 52.98, intensity 26.5
- 2θ 73.86, intensity 17.2